GdCo2Si2: calculated powder X-ray diffraction pattern (CuKα), based on a cell relaxed with PBE.

Principal peaks in the range 10° ≤ 2θ ≤ 90°, in order of rising 2θ:
Position (°2θ)  I/Imax
24.57  51
35.77  59
36.50  17
37.40  100
46.62  39
52.03  18
60.12  26
60.61  15
66.29  19
80.33  20

```
data_GdCo2Si2
_chemical_formula_sum 'Gd1 Co2 Si2'
_cell_length_a 5.6422
_cell_length_b 5.6422
_cell_length_c 5.6422
_cell_angle_alpha 139.60
_cell_angle_beta 139.60
_cell_angle_gamma 58.46
_symmetry_space_group_name_H-M 'P 1'
_symmetry_Int_Tables_number 1
loop_
_symmetry_equiv_pos_as_xyz
'x,y,z'
loop_
_atom_site_label
_atom_site_fract_x
_atom_site_fract_y
_atom_site_fract_z
Gd1 0.0000 0.0000 0.0000
Co1 0.2500 0.7500 0.5000
Co2 0.7500 0.2500 0.5000
Si1 0.3703 0.3703 0.0000
Si2 0.6297 0.6297 0.0000
```



Ti2Tl3P5S18: calculated powder X-ray diffraction pattern (CuKα), based on a cell relaxed with PBE.

Principal peaks in the range 10° ≤ 2θ ≤ 90°, in order of rising 2θ:
Position (°2θ)  I/Imax
10.04  73
14.69  49
18.76  65
20.17  34
21.47  42
25.51  32
27.92  34
30.45  38
30.95  45
31.47  100

```
data_Ti2Tl3P5S18
_chemical_formula_sum 'Ti4 Tl6 P10 S36'
_cell_length_a 12.0327
_cell_length_b 12.0327
_cell_length_c 20.9205
_cell_angle_alpha 106.14
_cell_angle_beta 106.14
_cell_angle_gamma 30.95
_symmetry_space_group_name_H-M 'P 1'
_symmetry_Int_Tables_number 1
loop_
_symmetry_equiv_pos_as_xyz
'x,y,z'
loop_
_atom_site_label
_atom_site_fract_x
_atom_site_fract_y
_atom_site_fract_z
Ti1 0.2413 0.7587 0.5000
Ti2 0.4765 0.9943 0.7419
Ti3 0.7587 0.2413 0.0000
Ti4 0.9943 0.4765 0.2419
Tl1 0.3318 0.5861 0.6939
Tl2 0.5528 0.6735 0.8665
Tl3 0.5861 0.3318 0.1939
Tl4 0.6497 0.9005 0.5471
Tl5 0.6735 0.5528 0.3665
Tl6 0.9005 0.6497 0.0471
P1 0.0726 0.9185 0.3565
P2 0.1608 0.3199 0.3858
P3 0.2745 0.4757 0.5132
P4 0.3199 0.1608 0.8858
P5 0.3660 0.8689 0.6211
P6 0.4757 0.2745 0.0132
P7 0.7606 0.9602 0.7292
P8 0.8689 0.3660 0.1211
P9 0.9185 0.0726 0.8565
P10 0.9602 0.7606 0.2292
S1 0.9998 0.8076 0.1605
S2 0.0033 0.0911 0.7976
S3 0.0073 0.7911 0.4891
S4 0.0911 0.0033 0.2976
S5 0.0970 0.9450 0.9471
S6 0.1121 0.9708 0.6086
S7 0.1226 0.2647 0.1337
S8 0.1368 0.2417 0.4458
S9 0.1399 0.2894 0.7954
S10 0.2272 0.4447 0.2533
S11 0.2358 0.4279 0.5820
S12 0.2417 0.1368 0.9458
S13 0.2647 0.1226 0.6337
S14 0.2657 0.3897 0.9241
S15 0.2894 0.1399 0.2954
S16 0.3618 0.6060 0.3857
S17 0.3897 0.2657 0.4241
S18 0.4011 0.5112 0.0344
S19 0.4279 0.2358 0.0820
S20 0.4447 0.2272 0.7533
S21 0.5112 0.4011 0.5344
S22 0.5223 0.6725 0.5358
S23 0.5644 0.7112 0.7062
S24 0.6060 0.3618 0.8857
S25 0.6310 0.8685 0.8560
S26 0.6725 0.5223 0.0358
S27 0.7112 0.5644 0.2062
S28 0.7239 0.8345 0.2076
S29 0.7911 0.0073 0.9891
S30 0.8076 0.9998 0.6605
S31 0.8345 0.7239 0.7076
S32 0.8453 0.9695 0.3183
S33 0.8685 0.6310 0.3560
S34 0.9450 0.0970 0.4471
S35 0.9695 0.8453 0.8183
S36 0.9708 0.1121 0.1086
```



What did the first record say?
GdCo2Si2: calculated powder X-ray diffraction pattern (CuKα), based on a cell relaxed with PBE.

Principal peaks in the range 10° ≤ 2θ ≤ 90°, in order of rising 2θ:
Position (°2θ)  I/Imax
24.57  51
35.77  59
36.50  17
37.40  100
46.62  39
52.03  18
60.12  26
60.61  15
66.29  19
80.33  20

```
data_GdCo2Si2
_chemical_formula_sum 'Gd1 Co2 Si2'
_cell_length_a 5.6422
_cell_length_b 5.6422
_cell_length_c 5.6422
_cell_angle_alpha 139.60
_cell_angle_beta 139.60
_cell_angle_gamma 58.46
_symmetry_space_group_name_H-M 'P 1'
_symmetry_Int_Tables_number 1
loop_
_symmetry_equiv_pos_as_xyz
'x,y,z'
loop_
_atom_site_label
_atom_site_fract_x
_atom_site_fract_y
_atom_site_fract_z
Gd1 0.0000 0.0000 0.0000
Co1 0.2500 0.7500 0.5000
Co2 0.7500 0.2500 0.5000
Si1 0.3703 0.3703 0.0000
Si2 0.6297 0.6297 0.0000
```



Question: What is the formula in the first record?
Answer: GdCo2Si2